For Y2MgCd, a crystal structure in the Materials Project, relaxed with GGA-PBE gives the computed powder X-ray diffraction pattern in this record (Cu Kα (weighted mean of Kα1 and Kα2)).

Cell and atoms:
Unit cell a=7.551 b=7.551 c=7.551 alpha=90.00 beta=90.00 gamma=90.00
Space group Fm-3m (No. 225)
One atom of each set of equivalent atoms:
Y  0.250  0.250  0.250 x8
Mg  0.000  0.000  0.000 x4
Cd  0.000  0.000  0.500 x4

Principal peaks in the range 10° ≤ 2θ ≤ 80°, in order of rising 2θ:
(hkl)  2θ/deg  I_rel
1 1 1  20.4  18
2 0 0  23.6  2
2 2 0  33.6  100
3 1 1  39.6  10
4 0 0  48.2  18
3 3 1  52.9  4
4 2 2  60.0  35
5 1 1  64.1  3
4 4 0  70.6  11
5 3 1  74.3  3

For Li2TlPt, a crystal structure in the Materials Project, relaxed with GGA-PBE gives the computed powder X-ray diffraction pattern in this record (Cu Kα (weighted mean of Kα1 and Kα2)).

Cell and atoms:
Unit cell a=6.349 b=6.349 c=6.349 alpha=90.00 beta=90.00 gamma=90.00
Space group Fm-3m (No. 225)
One atom of each set of equivalent atoms:
Li  0.250  0.250  0.250 x8
Tl  0.000  0.000  0.000 x4
Pt  0.000  0.000  0.500 x4

Principal peaks in the range 10° ≤ 2θ ≤ 80°, in order of rising 2θ:
(hkl)  2θ/deg  I_rel
2 0 0  28.1  100
2 2 0  40.2  87
2 2 2  49.8  28
4 0 0  58.1  15
4 2 0  65.8  37
4 2 2  73.0  31

For TbMgPd, a crystal structure in the Materials Project, relaxed with GGA-PBE gives the computed powder X-ray diffraction pattern in this record (Cu Kα (weighted mean of Kα1 and Kα2)).

Cell and atoms:
Unit cell a=7.5528 b=7.5528 c=3.9990 alpha=90.00 beta=90.00 gamma=120.00
Space group P-62m (No. 189)
One atom of each set of equivalent atoms:
Tb  0.0000  0.5880  0.0000 x3
Mg  0.0000  0.2461  0.5000 x3
Pd  0.0000  0.0000  0.0000 x1
Pd  0.3333  0.6667  0.5000 x2

Principal peaks in the range 10° ≤ 2θ ≤ 80°, in order of rising 2θ:
(hkl)  2θ/deg  I_rel
1 1 0  23.6  37
2 0 0  27.3  25
1 1 1  32.6  88
2 0 1  35.5  100
2 1 0  36.3  25
3 0 0  41.4  31
2 1 1  43.0  25
0 0 2  45.4  22
3 1 1  55.6  26
3 2 1  66.6  25

For Sr2DyCu3Pb2O8, a crystal structure in the Materials Project, relaxed with GGA-PBE gives the computed powder X-ray diffraction pattern in this record (Cu Kα (weighted mean of Kα1 and Kα2)).

Cell and atoms:
Unit cell a=3.834 b=3.834 c=16.031 alpha=90.00 beta=90.00 gamma=90.00
Space group P4/mmm (No. 123)
One atom of each set of equivalent atoms:
Sr  0.000  0.000  0.220 x2
Dy  0.000  0.000  0.000 x1
Cu  0.000  0.000  0.500 x1
Cu  0.500  0.500  0.104 x2
Pb  0.500  0.500  0.387 x2
O  0.000  0.000  0.384 x2
O  0.000  0.500  0.091 x4
O  0.500  0.500  0.250 x2

Principal peaks in the range 10° ≤ 2θ ≤ 80°, in order of rising 2θ:
(hkl)  2θ/deg  I_rel
0 0 2  11.0  12
1 0 1  23.9  28
1 0 4  32.3  100
1 1 0  33.0  67
1 0 6  41.2  16
1 1 5  43.7  21
2 0 0  47.4  31
1 1 8  57.2  15
2 1 4  58.6  38
3 1 0  79.0  11

For Tl2Re3Se6, a crystal structure in the Materials Project, relaxed with GGA-PBE gives the computed powder X-ray diffraction pattern in this record (Cu Kα (weighted mean of Kα1 and Kα2)).

Cell and atoms:
Unit cell a=17.592 b=10.110 c=12.494 alpha=90.00 beta=90.57 gamma=90.00
Space group C2/c (No. 15)
One atom of each set of equivalent atoms:
Tl  0.000  0.088  0.250 x4
Tl  0.000  0.284  0.750 x4
Tl  0.103  0.252  0.486 x8
Re  0.161  0.347  0.025 x8
Re  0.206  0.179  0.873 x8
Re  0.210  0.108  0.080 x8
Se  0.037  0.473  0.080 x8
Se  0.084  0.138  0.978 x8
Se  0.144  0.086  0.693 x8
Se  0.161  0.413  0.829 x8
Se  0.169  0.275  0.220 x8
Se  0.245  0.453  0.568 x8

Principal peaks in the range 10° ≤ 2θ ≤ 80°, in order of rising 2θ:
(hkl)  2θ/deg  I_rel
2 0 0  10.1  29
1 1 -1  12.3  100
0 2 0  17.5  27
3 1 1  18.9  22
1 3 1  27.9  23
2 0 4  30.4  25
3 3 1  31.5  27
3 3 -3  37.5  29
4 2 5  45.6  29
5 3 4  47.5  23

For TiBi2O5, a crystal structure in the Materials Project, relaxed with GGA-PBE gives the computed powder X-ray diffraction pattern in this record (Cu Kα (weighted mean of Kα1 and Kα2)).

Cell and atoms:
Unit cell a=4.068 b=12.331 c=10.422 alpha=90.00 beta=90.00 gamma=90.00
Space group Cmcm (No. 63)
One atom of each set of equivalent atoms:
Ti  0.000  0.164  0.250 x4
Bi  0.000  0.143  0.574 x8
O  0.000  0.063  0.120 x8
O  0.000  0.277  0.084 x8
O  0.000  0.291  0.750 x4

Principal peaks in the range 10° ≤ 2θ ≤ 80°, in order of rising 2θ:
(hkl)  2θ/deg  I_rel
0 2 0  14.4  28
0 2 1  16.7  25
0 0 2  17.0  38
1 1 0  23.0  89
0 4 0  29.0  36
0 2 3  29.5  100
1 3 0  30.9  66
1 1 3  34.7  61
1 5 3  50.6  55
2 2 3  54.3  41